(1)
B5C: computed PXRD pattern (a wavelength of 1.5418 Å), based on a PBE-relaxed structure.
No peak broadening, texture or thermal motion is included.

Largest 10 diffraction maxima, sorted by position, 10° ≤ 2θ ≤ 90°:
10.87°, I = 21; 20.90°, I = 7; 42.58°, I = 84; 43.47°, I = 100; 68.48°, I = 56; 69.27°, I = 9; 69.84°, I = 10; 76.24°, I = 8; 82.19°, I = 7; 84.63°, I = 11

Cell and atoms:
```
data_B5C
_space_group_name_H-M_alt 'P 1'
_space_group_IT_number 1
_cell_length_a 4.468
_cell_length_b 4.468
_cell_length_c 8.623
_cell_angle_alpha 108.60
_cell_angle_beta 108.60
_cell_angle_gamma 29.70
loop_
_space_group_symop_operation_xyz
'x,y,z'
loop_
_atom_site_label
_atom_site_fract_x
_atom_site_fract_y
_atom_site_fract_z
B1 0.026 0.026 0.106
B2 0.114 0.114 0.702
B3 0.190 0.190 0.923
B4 0.308 0.308 0.576
B5 0.324 0.324 0.785
B6 0.676 0.676 0.215
B7 0.692 0.692 0.424
B8 0.810 0.810 0.077
B9 0.886 0.886 0.298
B10 0.974 0.974 0.894
C1 0.497 0.497 0.586
C2 0.503 0.503 0.414
```

=====

(2)
B3C: computed PXRD pattern (a wavelength of 1.5418 Å), based on a PBE-relaxed structure.
No peak broadening, texture or thermal motion is included.

Largest 10 diffraction maxima, sorted by position, 10° ≤ 2θ ≤ 90°:
22.41°, I = 17; 33.83°, I = 18; 38.63°, I = 14; 39.70°, I = 100; 42.32°, I = 49; 52.80°, I = 15; 67.04°, I = 31; 67.43°, I = 27; 67.67°, I = 26; 73.21°, I = 22

Cell and atoms:
```
data_B3C
_space_group_name_H-M_alt 'P 1'
_space_group_IT_number 1
_cell_length_a 4.854
_cell_length_b 2.769
_cell_length_c 5.894
_cell_angle_alpha 90.00
_cell_angle_beta 97.12
_cell_angle_gamma 90.00
loop_
_space_group_symop_operation_xyz
'x,y,z'
loop_
_atom_site_label
_atom_site_fract_x
_atom_site_fract_y
_atom_site_fract_z
B1 0.000 0.000 0.000
B2 0.037 0.000 0.311
B3 0.224 0.500 0.945
B4 0.329 0.000 0.545
B5 0.456 0.000 0.284
B6 0.576 0.500 0.872
B7 0.730 0.000 0.552
B8 0.867 0.500 0.178
B9 0.960 0.500 0.496
C1 0.258 0.500 0.669
C2 0.515 0.500 0.153
C3 0.725 0.000 0.821
```

=====

(3)
B3C2: computed PXRD pattern (a wavelength of 1.5418 Å), based on a PBE-relaxed structure.
No peak broadening, texture or thermal motion is included.

Largest 10 diffraction maxima, sorted by position, 10° ≤ 2θ ≤ 90°:
23.46°, I = 7; 42.07°, I = 100; 46.59°, I = 9; 63.10°, I = 3; 65.69°, I = 5; 68.30°, I = 24; 73.56°, I = 5; 74.41°, I = 7; 78.54°, I = 12; 82.18°, I = 3

Cell and atoms:
```
data_B3C2
_space_group_name_H-M_alt 'P 1'
_space_group_IT_number 1
_cell_length_a 11.505
_cell_length_b 11.505
_cell_length_c 11.505
_cell_angle_alpha 167.85
_cell_angle_beta 167.85
_cell_angle_gamma 17.22
loop_
_space_group_symop_operation_xyz
'x,y,z'
loop_
_atom_site_label
_atom_site_fract_x
_atom_site_fract_y
_atom_site_fract_z
B1 0.000 0.000 0.000
B2 0.192 0.192 0.000
B3 0.250 0.750 0.500
B4 0.634 0.134 0.500
B5 0.808 0.808 0.000
B6 0.866 0.366 0.500
C1 0.049 0.549 0.500
C2 0.415 0.415 0.000
C3 0.451 0.951 0.500
C4 0.585 0.585 0.000
```

=====

(4)
B3C: computed PXRD pattern (a wavelength of 1.5418 Å), based on a PBE-relaxed structure.
No peak broadening, texture or thermal motion is included.

Largest 10 diffraction maxima, sorted by position, 10° ≤ 2θ ≤ 90°:
10.47°, I = 100; 21.02°, I = 47; 39.43°, I = 36; 42.80°, I = 9; 43.74°, I = 10; 68.10°, I = 8; 68.47°, I = 11; 72.51°, I = 4; 81.99°, I = 3; 84.22°, I = 6

Cell and atoms:
```
data_B3C
_space_group_name_H-M_alt 'P 1'
_space_group_IT_number 1
_cell_length_a 2.741
_cell_length_b 2.741
_cell_length_c 16.902
_cell_angle_alpha 90.00
_cell_angle_beta 90.00
_cell_angle_gamma 120.00
loop_
_space_group_symop_operation_xyz
'x,y,z'
loop_
_atom_site_label
_atom_site_fract_x
_atom_site_fract_y
_atom_site_fract_z
B1 0.000 0.000 0.000
B2 0.000 0.000 0.098
B3 0.000 0.000 0.501
B4 0.333 0.667 0.116
B5 0.333 0.667 0.342
B6 0.333 0.667 0.601
B7 0.333 0.667 0.840
B8 0.667 0.333 0.442
B9 0.667 0.333 0.940
C1 0.000 0.000 0.594
C2 0.667 0.333 0.349
C3 0.667 0.333 0.847
```